1.
GaNi4Ge3: calculated powder XRD pattern (copper Kα), based on a GGA-PBE-relaxed structure.

Peak list (10 most intense, 2θ from 10° to 80°, in order of falling intensity)
- 42.74 deg, I 100.0, (2 -1 3)
- 43.20 deg, I 92.4, (2 1 1)
- 47.42 deg, I 49.6, (1 2 2)
- 47.63 deg, I 25.6, (3 0 0)
- 46.78 deg, I 25.3, (1 0 4)
- 38.25 deg, I 21.4, (2 0 2)
- 33.11 deg, I 18.4, (0 2 1)
- 74.71 deg, I 17.2, (1 1 6)
- 75.52 deg, I 16.1, (1 3 4)
- 76.01 deg, I 16.0, (5 -3 2)

Atomic structure:
a b c (Å): 6.6133 6.6133 8.2576
angles (deg): 90.00 90.00 120.00
Space group R3 (No. 146, hexagonal axes)
Unique sites:
Ga 0.0000 0.0000 0.0000
Ni 0.0000 0.0000 0.3010
Ni 0.0188 0.2575 0.7733
Ge 0.1013 0.7104 0.2077

***

2.
Ga2Ni5Ge2: calculated powder XRD pattern (copper Kα), based on a GGA-PBE-relaxed structure.

Peak list (10 most intense, 2θ from 10° to 80°, in order of falling intensity)
- 35.68 deg, I 100.0, (4 1 1)
- 43.07 deg, I 71.2, (2 2 2)
- 38.57 deg, I 60.3, (3 1 2)
- 40.31 deg, I 45.1, (0 2 2)
- 39.73 deg, I 44.7, (5 1 0)
- 44.13 deg, I 43.0, (1 3 0)
- 44.80 deg, I 34.4, (0 1 3)
- 49.55 deg, I 29.7, (5 2 1)
- 49.19 deg, I 26.0, (5 1 2)
- 55.35 deg, I 24.7, (4 3 1)

Atomic structure:
a b c (Å): 12.175 6.245 6.415
angles (deg): 90.00 90.00 90.00
Space group Ima2 (No. 46)
Unique sites:
Ga 0.109 0.033 0.000
Ni 0.054 0.719 0.774
Ni 0.152 0.127 0.351
Ni 0.250 0.746 0.960
Ge 0.000 0.000 0.558
Ge 0.250 0.067 0.682

***

3.
Ga3Ni4Ge: calculated powder XRD pattern (copper Kα), based on a GGA-PBE-relaxed structure.

Peak list (10 most intense, 2θ from 10° to 80°, in order of falling intensity)
- 43.20 deg, I 100.0, (0 2 2)
- 40.40 deg, I 66.7, (2 1 1)
- 42.46 deg, I 61.4, (0 4 0)
- 50.92 deg, I 35.6, (2 3 1)
- 33.97 deg, I 33.9, (2 0 0)
- 40.21 deg, I 31.3, (2 2 0)
- 56.06 deg, I 21.8, (2 2 2)
- 51.40 deg, I 21.6, (2 0 2)
- 68.80 deg, I 15.9, (2 4 2)
- 55.46 deg, I 15.2, (2 4 0)

Atomic structure:
a b c (Å): 5.278 8.515 4.811
angles (deg): 90.00 90.00 90.00
Space group Imm2 (No. 44)
Unique sites:
Ga 0.000 0.000 0.000
Ga 0.000 0.263 0.720
Ni 0.000 0.247 0.219
Ni 0.241 0.000 0.468
Ge 0.000 0.500 0.379

***

4.
GaNi4Ge3: calculated powder XRD pattern (copper Kα), based on a GGA-PBE-relaxed structure.

Peak list (10 most intense, 2θ from 10° to 80°, in order of falling intensity)
- 45.72 deg, I 100.0, (5 1 0)
- 46.76 deg, I 92.8, (3 1 -2)
- 47.09 deg, I 64.5, (0 2 0)
- 46.40 deg, I 59.4, (1 1 2)
- 43.44 deg, I 34.8, (2 0 2)
- 32.84 deg, I 34.0, (4 0 -1)
- 35.51 deg, I 28.7, (3 1 -1)
- 24.31 deg, I 20.9, (1 1 0)
- 44.00 deg, I 18.9, (4 0 -2)
- 65.98 deg, I 18.7, (2 2 2)

Atomic structure:
a b c (Å): 11.795 3.860 4.909
angles (deg): 90.00 101.24 90.00
Space group Cm (No. 8)
Unique sites:
Ga 0.000 0.000 0.000
Ni 0.074 0.500 0.792
Ni 0.075 0.500 0.293
Ni 0.278 0.500 0.623
Ni 0.366 0.000 0.962
Ge 0.142 0.000 0.583
Ge 0.259 0.500 0.118
Ge 0.389 0.000 0.469

***

5.
GaNi4Ge3: calculated powder XRD pattern (copper Kα), based on a GGA-PBE-relaxed structure.

Peak list (10 most intense, 2θ from 10° to 80°, in order of falling intensity)
- 46.33 deg, I 100.0, (1 2 2)
- 45.86 deg, I 66.5, (1 5 0)
- 43.32 deg, I 44.6, (0 3 2)
- 47.60 deg, I 39.2, (2 0 0)
- 66.31 deg, I 19.1, (2 3 2)
- 33.40 deg, I 17.3, (1 2 1)
- 33.01 deg, I 15.3, (1 3 0)
- 68.17 deg, I 15.1, (0 7 2)
- 24.54 deg, I 13.3, (1 1 0)
- 37.77 deg, I 11.1, (1 3 1)

Atomic structure:
a b c (Å): 3.821 11.564 4.969
angles (deg): 90.00 90.00 90.00
Space group Pmc2_1 (No. 26)
Unique sites:
Ga 0.000 0.186 0.000
Ni 0.000 0.004 0.738
Ni 0.000 0.203 0.497
Ni 0.500 0.301 0.222
Ni 0.500 0.494 0.972
Ge 0.000 0.428 0.240
Ge 0.500 0.071 0.471
Ge 0.500 0.312 0.715